Na2CoPtO4: calculated powder XRD pattern (copper Kα), based on a GGA+U-relaxed structure.

Cell and atoms:
```
data_Na2CoPtO4
_chemical_formula_sum 'Na4 Co2 Pt2 O8'
_cell_length_a 5.6321
_cell_length_b 3.5894
_cell_length_c 10.8767
_cell_angle_alpha 90.00
_cell_angle_beta 90.00
_cell_angle_gamma 90.00
_symmetry_space_group_name_H-M 'A m m 2'
_symmetry_Int_Tables_number 38
loop_
_symmetry_equiv_pos_as_xyz
'x,y,z'
'-x,-y,z'
'-x,y,z'
'x,-y,z'
'x,y+1/2,z+1/2'
'-x,-y+1/2,z+1/2'
'-x,y+1/2,z+1/2'
'x,-y+1/2,z+1/2'
loop_
_atom_site_label
_atom_site_fract_x
_atom_site_fract_y
_atom_site_fract_z
Na1 0.0000 0.0000 0.0000
Na2 0.5000 0.0000 0.4230
Co1 0.0000 0.0000 0.7136
Pt1 0.5000 0.0000 0.7068
O1 0.2251 0.0000 0.5914
O2 0.2359 0.0000 0.8289
```

Main lines, most intense first (2θ = 10–90°):
26.1°, rel. 100.0, hkl 0 1 1
16.3°, rel. 81.3, hkl 0 0 2
48.1°, rel. 45.1, hkl 2 1 3
35.2°, rel. 31.9, hkl 0 1 3
46.4°, rel. 27.9, hkl 2 0 4
30.7°, rel. 27.1, hkl 1 1 1
41.6°, rel. 26.1, hkl 2 1 1
22.7°, rel. 26.0, hkl 1 0 2
15.7°, rel. 25.8, hkl 1 0 0
35.9°, rel. 21.2, hkl 2 0 2
31.8°, rel. 19.6, hkl 2 0 0
71.3°, rel. 18.0, hkl 2 2 4